This entry pairs a crystal structure of Li5Mn2FeB4O12 with its calculated PXRD pattern. Radiation: copper Kα. Structure: DFT lattice parameters and positions (GGA+U).

Structural model:
Lattice parameters (Å, degrees): 5.284 9.154 10.995 90.00 116.88 90.00
Sites, in units of the cell vectors:
1 Li 0.000 0.077 0.000
2 Li 0.000 0.923 0.500
3 Li 0.415 0.249 0.263
4 Li 0.415 0.751 0.763
5 Li 0.924 0.422 0.256
6 Li 0.924 0.578 0.756
7 Li 0.951 0.261 0.783
8 Li 0.951 0.739 0.283
9 Li 0.959 0.238 0.462
10 Li 0.959 0.762 0.962
11 Mn 0.426 0.075 0.747
12 Mn 0.426 0.925 0.247
13 Mn 0.487 0.419 0.504
14 Mn 0.487 0.581 0.004
15 Fe 0.529 0.246 0.022
16 Fe 0.529 0.754 0.522
17 B 0.005 0.421 0.004
18 B 0.005 0.579 0.504
19 B 0.432 0.415 0.763
20 B 0.432 0.585 0.263
21 B 0.490 0.090 0.494
22 B 0.490 0.910 0.994
23 B 0.914 0.078 0.245
24 B 0.914 0.922 0.745
25 O 0.079 0.444 0.472
26 O 0.079 0.556 0.972
27 O 0.129 0.291 0.997
28 O 0.129 0.709 0.497
29 O 0.139 0.089 0.213
30 O 0.139 0.911 0.713
31 O 0.277 0.092 0.536
32 O 0.277 0.908 0.036
33 O 0.325 0.286 0.786
34 O 0.325 0.714 0.286
35 O 0.352 0.452 0.298
36 O 0.352 0.548 0.798
37 O 0.578 0.043 0.961
38 O 0.578 0.957 0.461
39 O 0.615 0.216 0.479
40 O 0.615 0.784 0.979
41 O 0.629 0.414 0.709
42 O 0.629 0.586 0.209
43 O 0.759 0.205 0.240
44 O 0.759 0.795 0.740
45 O 0.788 0.417 0.044
46 O 0.788 0.583 0.544
47 O 0.843 0.056 0.779
48 O 0.843 0.944 0.279

Peak list (10 most intense, 2θ = 10–90°, in order of falling intensity)
2θ = 33.9°, rel. 100, (1 3 -1)
2θ = 18.8°, rel. 94, (1 0 0)
2θ = 36.7°, rel. 79, (0 0 4)
2θ = 20.5°, rel. 52, (0 1 2)
2θ = 19.4°, rel. 36, (1 0 -2)
2θ = 30.7°, rel. 35, (0 3 1)
2θ = 60.7°, rel. 34, (0 6 0)
2θ = 51.2°, rel. 30, (1 3 -5)
2θ = 40.5°, rel. 24, (0 4 1)
2θ = 53.6°, rel. 24, (3 1 -2)